Simulated PXRD pattern
Compound: Zn3Fe12Co2O24
Radiation: CuKα
Structure: a GGA+U-relaxed structure
Neutral-atom scattering factors, no anomalous dispersion.

Peak list (10 most intense, 10 to 80 degrees two-theta, by angle)
- d = 4.944 Å, 2θ = 17.94°, rel. 23.9
- d = 3.029 Å, 2θ = 29.49°, rel. 34.2
- d = 2.590 Å, 2θ = 34.63°, rel. 49.3
- d = 2.577 Å, 2θ = 34.81°, rel. 100.0
- d = 2.151 Å, 2θ = 42.01°, rel. 11.1
- d = 2.136 Å, 2θ = 42.32°, rel. 21.9
- d = 1.655 Å, 2θ = 55.54°, rel. 15.7
- d = 1.645 Å, 2θ = 55.91°, rel. 30.1
- d = 1.515 Å, 2θ = 61.16°, rel. 45.8
- d = 1.510 Å, 2θ = 61.39°, rel. 22.8

Crystal structure
```
Zn3Fe12Co2O24
1.0
-3.021 9.058 4.301
3.021 -9.058 4.301
3.021 9.058 -4.301
Zn Fe Co O
3 12 2 24
Direct
0.000 0.000 0.000
0.330 0.995 0.335
0.660 0.995 0.665
0.122 0.369 0.752
0.290 0.370 0.920
0.290 0.374 0.415
0.290 0.875 0.916
0.451 0.370 0.080
0.617 0.369 0.248
0.620 0.364 0.744
0.620 0.875 0.256
0.793 0.375 0.418
0.956 0.375 0.582
0.958 0.374 0.084
0.958 0.875 0.585
0.581 0.748 0.834
0.914 0.748 0.166
0.000 0.599 0.401
0.041 0.132 0.909
0.046 0.136 0.428
0.046 0.617 0.909
0.194 0.132 0.604
0.194 0.590 0.062
0.198 0.599 0.599
0.223 0.132 0.091
0.361 0.612 0.749
0.376 0.133 0.244
0.396 0.177 0.781
0.396 0.615 0.219
0.528 0.132 0.938
0.528 0.590 0.396
0.540 0.621 0.919
0.559 0.136 0.423
0.703 0.621 0.081
0.708 0.136 0.091
0.708 0.617 0.572
0.713 0.136 0.577
0.861 0.131 0.270
0.861 0.591 0.730
0.864 0.612 0.251
0.889 0.133 0.756
```

Simulated PXRD pattern
Compound: Li12MnFe3P4C4O28
Radiation: CuKα
Structure: a GGA+U-relaxed structure
Neutral-atom scattering factors, no anomalous dispersion.

Peak list (10 most intense, 10 to 80 degrees two-theta, by angle)
- d = 8.506 Å, 2θ = 10.40°, rel. 84.0
- d = 5.172 Å, 2θ = 17.15°, rel. 20.5
- d = 4.479 Å, 2θ = 19.82°, rel. 36.5
- d = 4.163 Å, 2θ = 21.34°, rel. 47.0
- d = 3.508 Å, 2θ = 25.39°, rel. 21.6
- d = 3.383 Å, 2θ = 26.35°, rel. 34.6
- d = 3.257 Å, 2θ = 27.38°, rel. 100.0
- d = 2.456 Å, 2θ = 36.59°, rel. 26.8
- d = 2.238 Å, 2θ = 40.30°, rel. 22.0
- d = 1.781 Å, 2θ = 51.30°, rel. 20.1

Crystal structure
```
Li12MnFe3P4C4O28
1.0
8.536 0.000 0.000
0.000 6.514 0.000
-0.839 0.000 10.005
Li Mn Fe P C O
12 1 3 4 4 28
Direct
0.000 0.000 0.000
0.001 0.000 0.500
0.182 0.225 0.757
0.182 0.775 0.757
0.183 0.224 0.256
0.183 0.776 0.256
0.634 0.275 0.004
0.634 0.725 0.004
0.635 0.274 0.503
0.635 0.726 0.503
0.816 0.500 0.259
0.818 0.500 0.759
0.249 0.500 0.491
0.242 0.500 0.985
0.573 0.000 0.773
0.574 0.000 0.274
0.319 0.000 0.520
0.320 0.000 0.020
0.495 0.500 0.238
0.498 0.500 0.740
0.874 0.000 0.231
0.874 0.000 0.731
0.941 0.500 0.528
0.943 0.500 0.028
0.019 0.000 0.202
0.019 0.000 0.702
0.052 0.500 0.625
0.055 0.500 0.125
0.218 0.185 0.466
0.218 0.815 0.466
0.219 0.187 0.967
0.219 0.813 0.967
0.329 0.500 0.288
0.330 0.500 0.787
0.336 0.000 0.177
0.336 0.000 0.676
0.480 0.500 0.082
0.485 0.500 0.584
0.486 0.000 0.470
0.487 0.000 0.970
0.597 0.313 0.292
0.597 0.687 0.292
0.598 0.313 0.794
0.598 0.687 0.794
0.761 0.000 0.134
0.761 0.000 0.635
0.795 0.500 0.558
0.797 0.500 0.058
0.837 0.000 0.353
0.837 0.000 0.854
0.977 0.500 0.406
0.980 0.500 0.906
```

Simulated PXRD pattern
Compound: Li4Cr3FeO8
Radiation: CuKα
Structure: a GGA+U-relaxed structure
Neutral-atom scattering factors, no anomalous dispersion.

Peak list (10 most intense, 10 to 80 degrees two-theta, by angle)
- d = 4.873 Å, 2θ = 18.20°, rel. 100.0
- d = 2.529 Å, 2θ = 35.49°, rel. 27.4
- d = 2.519 Å, 2θ = 35.64°, rel. 13.7
- d = 2.099 Å, 2θ = 43.09°, rel. 81.7
- d = 1.931 Å, 2θ = 47.07°, rel. 9.0
- d = 1.619 Å, 2θ = 56.86°, rel. 13.7
- d = 1.490 Å, 2θ = 62.33°, rel. 14.5
- d = 1.485 Å, 2θ = 62.54°, rel. 14.6
- d = 1.478 Å, 2θ = 62.87°, rel. 14.7
- d = 1.415 Å, 2θ = 66.05°, rel. 9.1

Crystal structure
```
Li4Cr3FeO8
1.0
5.113 0.000 0.000
0.000 5.940 0.000
-1.714 0.000 4.873
Li Cr Fe O
4 3 1 8
Direct
0.000 0.000 0.000
0.000 0.500 0.000
0.500 0.249 0.000
0.500 0.751 0.000
0.000 0.250 0.500
0.000 0.750 0.500
0.500 0.500 0.500
0.500 0.000 0.500
0.239 0.000 0.728
0.241 0.500 0.726
0.257 0.252 0.272
0.257 0.748 0.272
0.743 0.252 0.728
0.743 0.748 0.728
0.759 0.500 0.274
0.761 0.000 0.272
```